Entry 1:
Computed X-ray powder pattern
Compound: DyEr3Cd4
Radiation: Cu Kα X-rays
Structure: a crystal structure in Alexandria, relaxed with GGA-PBE
Lines closer than 0.1° are merged.

The 10 most intense peaks (10 to 90 degrees two-theta), by intensity:
34.0 deg, rel. 100; 34.2 deg, rel. 49; 61.1 deg, rel. 36; 60.8 deg, rel. 18; 49.2 deg, rel. 18; 71.6 deg, rel. 11; 48.6 deg, rel. 9; 81.2 deg, rel. 8; 82.2 deg, rel. 8; 82.3 deg, rel. 8

Structure:
```
DyEr3Cd4
1.0
5.2403 0.0000 0.0000
0.0000 5.2403 0.0000
0.0000 0.0000 7.4982
Dy Er Cd
1 3 4
Cartesian
0.0000 0.0000 0.0000
0.0000 0.0000 3.7491
2.6201 2.6201 0.0000
2.6201 2.6201 3.7491
0.0000 2.6201 1.8890
0.0000 2.6201 5.6092
2.6201 0.0000 1.8890
2.6201 0.0000 5.6092
```

Entry 2:
Computed X-ray powder pattern
Compound: DyHoErCd
Radiation: Cu Kα X-rays
Structure: a crystal structure in Alexandria, relaxed with GGA-PBE
Lines closer than 0.1° are merged.

The 10 most intense peaks (10 to 90 degrees two-theta), by intensity:
32.0 deg, rel. 100; 35.7 deg, rel. 39; 61.8 deg, rel. 30; 54.6 deg, rel. 20; 51.3 deg, rel. 14; 39.9 deg, rel. 12; 66.9 deg, rel. 11; 67.6 deg, rel. 9; 89.6 deg, rel. 8; 84.4 deg, rel. 8

Structure:
```
DyHoErCd
1.0
3.5599 0.0000 0.0000
0.0000 3.5599 0.0000
0.0000 0.0000 9.0296
Dy Ho Er Cd
1 1 1 1
Cartesian
0.0000 0.0000 0.0000
0.0000 0.0000 4.8803
1.7800 1.7800 2.4448
1.7800 1.7800 6.9425
```

Entry 3:
Computed X-ray powder pattern
Compound: DyCd3F8
Radiation: Cu Kα X-rays
Structure: a crystal structure in Alexandria, relaxed with GGA-PBE
Lines closer than 0.1° are merged.

The 10 most intense peaks (10 to 90 degrees two-theta), by intensity:
27.7 deg, rel. 100; 46.0 deg, rel. 61; 54.5 deg, rel. 44; 32.1 deg, rel. 24; 85.2 deg, rel. 18; 74.1 deg, rel. 17; 76.3 deg, rel. 10; 67.1 deg, rel. 9; 57.2 deg, rel. 7; 15.9 deg, rel. 3

Structure:
```
DyCd3F8
1.0
5.5798 0.0000 0.0000
0.0000 5.5798 0.0000
0.0000 0.0000 5.5798
Dy Cd F
1 3 8
Cartesian
0.0000 0.0000 0.0000
0.0000 2.7899 2.7899
2.7899 0.0000 2.7899
2.7899 2.7899 0.0000
1.3395 1.3395 1.3395
1.3395 1.3395 4.2402
1.3395 4.2402 1.3395
1.3395 4.2402 4.2402
4.2402 1.3395 1.3395
4.2402 1.3395 4.2402
4.2402 4.2402 1.3395
4.2402 4.2402 4.2402
```

Entry 4:
Computed X-ray powder pattern
Compound: DyTl2Cd3F12
Radiation: Cu Kα X-rays
Structure: a crystal structure in Alexandria, relaxed with GGA-PBE
Lines closer than 0.1° are merged.

The 10 most intense peaks (10 to 90 degrees two-theta), by intensity:
27.9 deg, rel. 100; 25.1 deg, rel. 82; 26.8 deg, rel. 56; 15.7 deg, rel. 55; 46.8 deg, rel. 50; 22.9 deg, rel. 43; 41.6 deg, rel. 40; 47.0 deg, rel. 40; 32.9 deg, rel. 37; 26.3 deg, rel. 33

Structure:
```
DyTl2Cd3F12
1.0
3.8858 2.2435 6.9503
-3.8858 2.2435 6.9503
0.0000 -4.4869 6.9503
Dy Tl Cd F
1 2 3 12
Cartesian
0.0000 0.0000 0.0000
0.0000 0.0000 8.7581
0.0000 0.0000 12.0929
-3.8858 0.0000 10.4255
-1.9429 1.1217 3.4752
1.9429 1.1217 3.4752
0.0000 -2.7678 5.6198
-2.3970 1.3839 5.6198
-2.0559 -1.1870 9.7379
-2.3970 -1.3839 15.2311
0.0000 -2.3740 11.1131
-2.0559 1.1870 11.1131
2.0559 -1.1870 9.7379
0.0000 2.3740 9.7379
2.3970 1.3839 5.6198
2.0559 1.1870 11.1131
2.3970 -1.3839 15.2311
0.0000 2.7678 15.2311
```

Entry 5:
Computed X-ray powder pattern
Compound: DyCd4Ga2
Radiation: Cu Kα X-rays
Structure: a crystal structure in Alexandria, relaxed with GGA-PBE
Lines closer than 0.1° are merged.

The 10 most intense peaks (10 to 90 degrees two-theta), by intensity:
33.6 deg, rel. 100; 41.3 deg, rel. 19; 41.5 deg, rel. 18; 40.7 deg, rel. 13; 60.0 deg, rel. 12; 70.4 deg, rel. 10; 70.7 deg, rel. 10; 30.4 deg, rel. 8; 60.2 deg, rel. 8; 44.8 deg, rel. 6

Structure:
```
DyCd4Ga2
1.0
2.1872 -7.9818 0.0000
2.1872 7.9818 0.0000
0.0000 0.0000 4.3480
Dy Cd Ga
1 4 2
Cartesian
0.0000 0.0000 0.0000
2.1872 5.1571 2.1740
2.1872 2.8979 0.0000
2.1872 -2.8979 0.0000
2.1872 -5.1571 2.1740
2.1872 1.1970 2.1740
2.1872 -1.1970 2.1740
```

Entry 6:
Computed X-ray powder pattern
Compound: Dy6Cd5Ge
Radiation: Cu Kα X-rays
Structure: a crystal structure in Alexandria, relaxed with GGA-PBE
Lines closer than 0.1° are merged.

The 10 most intense peaks (10 to 90 degrees two-theta), by intensity:
34.3 deg, rel. 100; 34.0 deg, rel. 20; 61.4 deg, rel. 15; 49.0 deg, rel. 14; 61.0 deg, rel. 13; 72.3 deg, rel. 8; 61.6 deg, rel. 7; 49.6 deg, rel. 7; 61.5 deg, rel. 7; 83.0 deg, rel. 6

Structure:
```
Dy6Cd5Ge
1.0
2.6189 -7.9176 0.0000
2.6189 7.9176 0.0000
0.0000 0.0000 7.3521
Dy Cd Ge
6 5 1
Cartesian
0.0000 0.0000 1.7395
0.0000 0.0000 5.6126
2.6189 2.5273 1.8016
2.6189 2.5273 5.5505
2.6189 -2.5273 1.8016
2.6189 -2.5273 5.5505
2.6189 5.2297 3.6761
2.6189 5.0849 0.0000
2.6189 0.0000 3.6761
2.6189 -5.0849 0.0000
2.6189 -5.2297 3.6761
2.6189 0.0000 0.0000
```

Entry 7:
Computed X-ray powder pattern
Compound: DyCdGe2Pt5
Radiation: Cu Kα X-rays
Structure: a crystal structure in Alexandria, relaxed with GGA-PBE
Lines closer than 0.1° are merged.

The 10 most intense peaks (10 to 90 degrees two-theta), by intensity:
36.3 deg, rel. 100; 43.1 deg, rel. 43; 74.5 deg, rel. 25; 42.9 deg, rel. 18; 60.3 deg, rel. 14; 62.6 deg, rel. 14; 40.1 deg, rel. 12; 70.3 deg, rel. 9; 36.8 deg, rel. 9; 77.0 deg, rel. 7

Structure:
```
DyCdGe2Pt5
1.0
4.1982 0.0000 0.0000
0.0000 4.1982 0.0000
0.0000 0.0000 8.9960
Dy Cd Ge Pt
1 1 2 5
Cartesian
0.0000 0.0000 0.0000
0.0000 0.0000 4.4980
2.0991 2.0991 1.2103
2.0991 2.0991 7.7858
0.0000 2.0991 2.4844
0.0000 2.0991 6.5116
2.0991 0.0000 2.4844
2.0991 0.0000 6.5116
2.0991 2.0991 4.4980
```

Entry 8:
Computed X-ray powder pattern
Compound: DyCdH8Ir2
Radiation: Cu Kα X-rays
Structure: a crystal structure in Alexandria, relaxed with GGA-PBE
Lines closer than 0.1° are merged.

The 10 most intense peaks (10 to 90 degrees two-theta), by intensity:
30.0 deg, rel. 100; 37.6 deg, rel. 78; 31.6 deg, rel. 44; 41.6 deg, rel. 31; 65.1 deg, rel. 26; 36.1 deg, rel. 25; 44.3 deg, rel. 23; 53.2 deg, rel. 21; 15.5 deg, rel. 20; 30.8 deg, rel. 20

Structure:
```
DyCdH8Ir2
1.0
4.3426 -2.1729 0.0000
4.3426 2.1729 0.0000
-2.0270 0.0000 5.7151
Dy Cd H Ir
1 1 8 2
Cartesian
0.0000 0.0000 0.0000
3.3292 0.0000 2.8575
2.4465 1.0688 0.9564
1.0368 0.0000 2.1405
1.8451 0.0000 4.8938
4.2118 1.0688 4.7587
2.4465 -1.0688 0.9564
4.8132 0.0000 0.8213
5.6215 0.0000 3.5746
4.2118 -1.0688 4.7587
0.5743 0.0000 3.7660
6.0840 0.0000 1.9491
```